(1)
Computed powder diffraction line list of Li3BePCO7 for Cu Kα, 1.54184 Å, from a crystal structure in the Materials Project, relaxed with PBE.

Atomic structure:
Lattice parameters (Å, degrees): 4.7829 6.2180 8.2212 90.00 92.79 90.00
Element x y z (fractional)
1 Li 0.2253 0.0170 0.2582
2 Li 0.2253 0.4830 0.2582
3 Li 0.2497 0.2500 0.6202
4 Li 0.7503 0.7500 0.3798
5 Li 0.7747 0.5170 0.7418
6 Li 0.7747 0.9830 0.7418
7 Be 0.2247 0.7500 0.8637
8 Be 0.7753 0.2500 0.1363
9 P 0.2684 0.2500 0.9270
10 P 0.7316 0.7500 0.0730
11 C 0.2529 0.7500 0.5527
12 C 0.7471 0.2500 0.4473
13 O 0.0132 0.2500 0.4289
14 O 0.1247 0.2500 0.0923
15 O 0.1849 0.0547 0.8183
16 O 0.1849 0.4453 0.8183
17 O 0.3506 0.7500 0.4072
18 O 0.4101 0.7500 0.0342
19 O 0.4235 0.7500 0.6817
20 O 0.5765 0.2500 0.3183
21 O 0.5899 0.2500 0.9658
22 O 0.6494 0.2500 0.5928
23 O 0.8151 0.5547 0.1817
24 O 0.8151 0.9453 0.1817
25 O 0.8753 0.7500 0.9077
26 O 0.9868 0.7500 0.5711

Peak list (10 most intense, 15° ≤ 2θ ≤ 90°, most intense first)
- 2θ = 28.71°, rel. 100
- 2θ = 26.29°, rel. 78
- 2θ = 36.24°, rel. 63
- 2θ = 25.51°, rel. 47
- 2θ = 39.88°, rel. 31
- 2θ = 40.46°, rel. 29
- 2θ = 21.05°, rel. 29
- 2θ = 26.01°, rel. 24
- 2θ = 21.98°, rel. 23
- 2θ = 59.46°, rel. 19

***

(2)
Computed powder diffraction line list of Be3Si3C4SO12 for Cu Kα, 1.54184 Å, from a crystal structure in the Materials Project, relaxed with PBE.

Atomic structure:
Lattice parameters (Å, degrees): 8.0214 8.0214 8.0214 90.00 90.00 90.00
Element x y z (fractional)
1 Be 0.0000 0.2500 0.5000
2 Be 0.0000 0.7500 0.5000
3 Be 0.2500 0.5000 0.0000
4 Be 0.5000 0.0000 0.2500
5 Be 0.5000 0.0000 0.7500
6 Be 0.7500 0.5000 0.0000
7 Si 0.0000 0.5000 0.2500
8 Si 0.0000 0.5000 0.7500
9 Si 0.2500 0.0000 0.5000
10 Si 0.5000 0.2500 0.0000
11 Si 0.5000 0.7500 0.0000
12 Si 0.7500 0.0000 0.5000
13 C 0.1695 0.1695 0.1695
14 C 0.1695 0.8305 0.8305
15 C 0.3305 0.3305 0.6695
16 C 0.3305 0.6695 0.3305
17 C 0.6695 0.3305 0.3305
18 C 0.6695 0.6695 0.6695
19 C 0.8305 0.1695 0.8305
20 C 0.8305 0.8305 0.1695
21 S 0.0000 0.0000 0.0000
22 S 0.5000 0.5000 0.5000
23 O 0.1008 0.3620 0.6362
24 O 0.1008 0.6380 0.3638
25 O 0.1362 0.1380 0.3992
26 O 0.1362 0.8620 0.6008
27 O 0.1380 0.3992 0.1362
28 O 0.1380 0.6008 0.8638
29 O 0.3620 0.3638 0.8992
30 O 0.3620 0.6362 0.1008
31 O 0.3638 0.1008 0.6380
32 O 0.3638 0.8992 0.3620
33 O 0.3992 0.1362 0.1380
34 O 0.3992 0.8638 0.8620
35 O 0.6008 0.1362 0.8620
36 O 0.6008 0.8638 0.1380
37 O 0.6362 0.1008 0.3620
38 O 0.6362 0.8992 0.6380
39 O 0.6380 0.3638 0.1008
40 O 0.6380 0.6362 0.8992
41 O 0.8620 0.3992 0.8638
42 O 0.8620 0.6008 0.1362
43 O 0.8638 0.1380 0.6008
44 O 0.8638 0.8620 0.3992
45 O 0.8992 0.3620 0.3638
46 O 0.8992 0.6380 0.6362

Peak list (10 most intense, 15° ≤ 2θ ≤ 90°, most intense first)
- 2θ = 27.23°, rel. 100
- 2θ = 38.89°, rel. 38
- 2θ = 42.15°, rel. 28
- 2θ = 65.87°, rel. 27
- 2θ = 15.62°, rel. 26
- 2θ = 24.82°, rel. 25
- 2θ = 48.13°, rel. 12
- 2θ = 72.66°, rel. 10
- 2θ = 50.91°, rel. 9
- 2θ = 22.16°, rel. 9

***

(3)
Computed powder diffraction line list of CaBe13 for Cu Kα, 1.54184 Å, from a crystal structure in the Materials Project, relaxed with PBE.

Atomic structure:
Lattice parameters (Å, degrees): 7.2383 7.2383 7.2383 60.00 60.00 60.00
Element x y z (fractional)
1 Ca 0.2500 0.2500 0.2500
2 Ca 0.7500 0.7500 0.7500
3 Be 0.0000 0.0000 0.0000
4 Be 0.0647 0.2887 0.7113
5 Be 0.0647 0.7113 0.9353
6 Be 0.0647 0.9353 0.2887
7 Be 0.2113 0.4353 0.7887
8 Be 0.2113 0.5647 0.4353
9 Be 0.2113 0.7887 0.5647
10 Be 0.2887 0.0647 0.9353
11 Be 0.2887 0.7113 0.0647
12 Be 0.2887 0.9353 0.7113
13 Be 0.4353 0.2113 0.5647
14 Be 0.4353 0.5647 0.7887
15 Be 0.4353 0.7887 0.2113
16 Be 0.5000 0.5000 0.5000
17 Be 0.5647 0.2113 0.7887
18 Be 0.5647 0.4353 0.2113
19 Be 0.5647 0.7887 0.4353
20 Be 0.7113 0.0647 0.2887
21 Be 0.7113 0.2887 0.9353
22 Be 0.7113 0.9353 0.0647
23 Be 0.7887 0.2113 0.4353
24 Be 0.7887 0.4353 0.5647
25 Be 0.7887 0.5647 0.2113
26 Be 0.9353 0.0647 0.7113
27 Be 0.9353 0.2887 0.0647
28 Be 0.9353 0.7113 0.2887

Peak list (10 most intense, 15° ≤ 2θ ≤ 90°, most intense first)
- 2θ = 43.30°, rel. 100
- 2θ = 39.36°, rel. 98
- 2θ = 24.60°, rel. 88
- 2θ = 30.25°, rel. 53
- 2θ = 56.89°, rel. 35
- 2θ = 52.92°, rel. 35
- 2θ = 68.61°, rel. 34
- 2θ = 17.33°, rel. 29
- 2θ = 35.06°, rel. 26
- 2θ = 65.79°, rel. 23